NaPm2PdO5: theoretical PXRD pattern (Cu Ka), based on a cell relaxed with GGA-PBE.
No peak broadening, texture or thermal motion is included.

abc: 6.747 6.747 5.837
angles: 90.00 90.00 90.00
Positions (direct):
Na 0.000 0.000 0.000
Na 0.500 0.500 0.000
Pm 0.175 0.325 0.500
Pm 0.325 0.825 0.500
Pm 0.675 0.175 0.500
Pm 0.825 0.675 0.500
Pd 0.000 0.500 0.000
Pd 0.500 0.000 0.000
O 0.000 0.000 0.500
O 0.137 0.637 0.255
O 0.137 0.637 0.745
O 0.363 0.137 0.255
O 0.363 0.137 0.745
O 0.500 0.500 0.500
O 0.637 0.863 0.255
O 0.637 0.863 0.745
O 0.863 0.363 0.255
O 0.863 0.363 0.745

Peak list (10 most intense, 2θ = 5–70°, most intense first)
30.6°, I = 100; 33.4°, I = 60; 43.1°, I = 45; 15.2°, I = 37; 18.6°, I = 36; 45.3°, I = 31; 29.6°, I = 24; 56.2°, I = 23; 58.6°, I = 16; 37.7°, I = 15

NaPuPdO4: theoretical PXRD pattern (Cu Ka), based on a cell relaxed with GGA-PBE.
No peak broadening, texture or thermal motion is included.

abc: 6.942 6.942 6.942
angles: 128.27 122.33 81.13
Positions (direct):
Na 0.421 0.171 0.250
Na 0.579 0.829 0.750
Pu 0.000 0.500 0.500
Pu 0.500 0.500 0.000
Pd 0.000 0.000 0.500
Pd 0.000 0.500 0.000
O 0.159 0.708 0.450
O 0.242 0.292 0.950
O 0.281 0.319 0.538
O 0.281 0.743 0.962
O 0.719 0.257 0.038
O 0.719 0.681 0.462
O 0.758 0.708 0.050
O 0.841 0.292 0.550

Peak list (10 most intense, 2θ = 5–70°, most intense first)
16.9°, I = 100; 31.7°, I = 73; 40.1°, I = 39; 53.6°, I = 35; 29.4°, I = 24; 34.1°, I = 21; 34.0°, I = 20; 15.7°, I = 16; 66.2°, I = 13; 53.7°, I = 12